1.
Starting from the GGA-PBE geometry in the Materials Project, the powder X-ray diffraction pattern of ErMn6Sn6 was calculated for Cu Kα.

Atomic structure:
```
13
Lattice="5.454 0.000 0.000 -2.727 4.723 0.000 0.000 0.000 9.003" Properties=species:S:1:pos:R:3 pbc="T T T"
Er 0.000 0.000 0.000
Mn -1.363 2.362 2.238
Mn -1.363 2.362 6.765
Mn 2.727 0.000 2.238
Mn 2.727 0.000 6.765
Mn 1.363 2.362 2.238
Mn 1.363 2.362 6.765
Sn 0.000 0.000 3.001
Sn 0.000 0.000 6.002
Sn 0.000 3.149 0.000
Sn 0.000 3.149 4.501
Sn 2.727 1.574 0.000
Sn 2.727 1.574 4.501
```

Peak list (10 most intense, 10 to 80 degrees two-theta, by angle)
| Position (°2θ) | intensity |
| --- | --- |
| 32.84 | 100 |
| 35.44 | 45 |
| 38.11 | 27 |
| 38.60 | 87 |
| 40.06 | 24 |
| 43.26 | 43 |
| 44.91 | 24 |
| 62.50 | 21 |
| 68.86 | 29 |
| 71.81 | 36 |

2.
Starting from the GGA-PBE geometry in the Materials Project, the powder X-ray diffraction pattern of Er6MnTe2 was calculated for Cu Kα.

Atomic structure:
```
9
Lattice="8.200 0.000 0.000 -4.100 7.101 0.000 0.000 0.000 4.062" Properties=species:S:1:pos:R:3 pbc="T T T"
Er -0.970 1.681 0.000
Er -2.491 4.315 2.031
Er 1.941 0.000 0.000
Er 1.609 2.786 2.031
Er 4.982 0.000 2.031
Er 3.130 5.420 0.000
Mn 0.000 0.000 2.031
Te 0.000 4.734 0.000
Te 4.100 2.367 0.000
```

Peak list (10 most intense, 10 to 80 degrees two-theta, by angle)
| Position (°2θ) | intensity |
| --- | --- |
| 30.99 | 100 |
| 33.38 | 61 |
| 33.52 | 52 |
| 38.02 | 27 |
| 40.27 | 27 |
| 44.61 | 20 |
| 51.56 | 17 |
| 56.85 | 27 |
| 61.31 | 22 |
| 64.34 | 14 |

3.
Starting from the GGA-PBE geometry in the Materials Project, the powder X-ray diffraction pattern of ErMo6Se8 was calculated for Cu Kα.

Atomic structure:
```
15
Lattice="4.767 2.752 3.956 -4.767 2.752 3.956 0.000 -5.504 3.956" Properties=species:S:1:pos:R:3 pbc="T T T"
Er 0.000 0.000 0.000
Mo -0.907 -1.267 4.804
Mo -0.643 1.419 4.804
Mo -1.551 0.153 7.065
Mo 1.551 -0.153 4.804
Mo 0.643 -1.419 7.065
Mo 0.907 1.267 7.065
Se -3.018 0.392 4.936
Se 0.000 0.000 2.797
Se -1.849 -2.418 6.932
Se 1.169 -2.810 4.936
Se -1.169 2.810 6.932
Se 1.849 2.418 4.936
Se 0.000 0.000 9.071
Se 3.018 -0.392 6.932
```

Peak list (10 most intense, 10 to 80 degrees two-theta, by angle)
| Position (°2θ) | intensity |
| --- | --- |
| 13.06 | 40 |
| 29.34 | 38 |
| 29.60 | 40 |
| 32.41 | 47 |
| 32.53 | 48 |
| 39.50 | 44 |
| 40.10 | 87 |
| 42.02 | 58 |
| 44.37 | 100 |
| 57.75 | 41 |

4.
Starting from the GGA-PBE geometry in the Materials Project, the powder X-ray diffraction pattern of Er2Si4Mo3 was calculated for Cu Kα.

Atomic structure:
```
18
Lattice="6.842 0.000 0.000 0.000 6.907 0.000 -2.184 0.000 6.353" Properties=species:S:1:pos:R:3 pbc="T T T"
Er 1.172 1.171 0.387
Er 0.080 2.282 3.564
Er 4.578 4.624 2.790
Er 3.486 5.736 5.967
Si -1.279 3.754 5.512
Si -0.187 6.606 2.335
Si 2.021 4.364 3.997
Si 3.113 5.996 0.821
Si 1.546 0.910 5.533
Si 2.638 2.543 2.356
Si 4.845 0.301 4.018
Si 5.937 3.152 0.841
Mo 1.152 4.576 1.586
Mo 0.060 5.784 4.763
Mo 2.329 0.000 3.177
Mo 3.421 3.453 0.000
Mo 4.598 1.122 1.590
Mo 3.506 2.331 4.767
```

Peak list (10 most intense, 10 to 80 degrees two-theta, by angle)
| Position (°2θ) | intensity |
| --- | --- |
| 29.95 | 31 |
| 30.53 | 36 |
| 34.54 | 38 |
| 35.02 | 40 |
| 37.36 | 100 |
| 37.68 | 98 |
| 38.12 | 32 |
| 41.73 | 50 |
| 42.43 | 43 |
| 64.84 | 37 |

5.
Starting from the GGA-PBE geometry in the Materials Project, the powder X-ray diffraction pattern of ErUN2 was calculated for Cu Kα.

Atomic structure:
```
4
Lattice="3.438 0.000 0.000 0.000 3.438 0.000 0.000 0.000 4.828" Properties=species:S:1:pos:R:3 pbc="T T T"
Er 0.000 0.000 0.000
U 1.719 1.719 2.414
N 0.000 0.000 2.414
N 1.719 1.719 0.000
```

Peak list (10 most intense, 10 to 80 degrees two-theta, by angle)
| Position (°2θ) | intensity |
| --- | --- |
| 31.96 | 100 |
| 36.98 | 45 |
| 37.25 | 22 |
| 53.29 | 16 |
| 53.50 | 31 |
| 63.50 | 30 |
| 63.87 | 15 |
| 66.81 | 16 |
| 78.73 | 5 |
| 79.40 | 3 |